1.
Calculated XRD peak list of Y2In8Ag for Cu Kα (weighted mean of Kα1 and Kα2), from a GGA-PBE-relaxed structure.
Lines closer than 0.1° are merged.

Most intense lines, 10° ≤ 2θ ≤ 90°, sorted by position:
d (Å), 2θ/deg, I_rel, hkl
2.943, 30.4, 16, 1 1 2
2.594, 34.6, 100, 1 1 3
2.458, 36.6, 10, 0 0 5
2.370, 38.0, 48, 2 0 0
2.048, 44.2, 7, 0 0 6
1.706, 53.7, 13, 2 0 5
1.676, 54.8, 16, 2 2 0
1.550, 59.7, 10, 2 0 6
1.408, 66.4, 28, 3 1 3
1.396, 67.0, 11, 1 1 8

Cell and atoms:
Lattice parameters (Å, degrees): 4.740 4.740 12.289 90.00 90.00 90.00
Fractional positions:
Y (0.000, 0.000, 0.187)
Y (0.000, 0.000, 0.813)
In (0.000, 0.500, 0.000)
In (0.000, 0.500, 0.368)
In (0.000, 0.500, 0.632)
In (0.500, 0.000, 0.000)
In (0.500, 0.000, 0.368)
In (0.500, 0.000, 0.632)
In (0.500, 0.500, 0.188)
In (0.500, 0.500, 0.812)
Ag (0.000, 0.000, 0.500)


2.
Calculated XRD peak list of YIn3Ag8 for Cu Kα (weighted mean of Kα1 and Kα2), from a GGA-PBE-relaxed structure.
Lines closer than 0.1° are merged.

Most intense lines, 10° ≤ 2θ ≤ 90°, sorted by position:
d (Å), 2θ/deg, I_rel, hkl
2.789, 32.1, 27, 1 1 0
2.597, 34.5, 70, 0 1 3
2.388, 37.7, 100, 1 1 2
2.337, 38.5, 89, 0 2 1
2.310, 39.0, 21, 0 0 4
2.141, 42.2, 21, 2 0 2
1.571, 58.8, 26, 1 2 3
1.521, 60.9, 23, 3 0 2
1.468, 63.4, 34, 2 0 5
1.395, 67.1, 27, 2 2 0

Cell and atoms:
Lattice parameters (Å, degrees): 5.578 5.578 9.240 90.00 90.00 120.00
Fractional positions:
Y (0.000, 0.000, 0.000)
In (0.000, 0.000, 0.367)
In (0.667, 0.333, 0.499)
In (0.667, 0.333, 0.876)
Ag (0.164, 0.328, 0.682)
Ag (0.164, 0.836, 0.682)
Ag (0.333, 0.667, 0.433)
Ag (0.333, 0.667, 0.930)
Ag (0.502, 0.005, 0.184)
Ag (0.502, 0.498, 0.184)
Ag (0.672, 0.836, 0.682)
Ag (0.995, 0.498, 0.184)


3.
Calculated XRD peak list of Y3In2Ag for Cu Kα (weighted mean of Kα1 and Kα2), from a GGA-PBE-relaxed structure.
Lines closer than 0.1° are merged.

Most intense lines, 10° ≤ 2θ ≤ 90°, sorted by position:
d (Å), 2θ/deg, I_rel, hkl
2.676, 33.5, 100, 1 0 3
2.538, 35.4, 44, 1 1 0
2.008, 45.1, 10, 0 0 6
1.795, 50.9, 15, 2 0 0
1.575, 58.6, 18, 1 1 6
1.490, 62.3, 31, 2 1 3
1.338, 70.4, 10, 2 0 6
1.254, 75.8, 7, 1 0 9
1.147, 84.5, 7, 3 0 3
1.135, 85.6, 7, 3 1 0

Cell and atoms:
Lattice parameters (Å, degrees): 3.589 3.589 12.051 90.00 90.00 90.00
Fractional positions:
Y (0.000, 0.000, 0.000)
Y (0.000, 0.000, 0.346)
Y (0.000, 0.000, 0.654)
In (0.500, 0.500, 0.174)
In (0.500, 0.500, 0.826)
Ag (0.500, 0.500, 0.500)


4.
Calculated XRD peak list of Zn8InAg4 for Cu Kα (weighted mean of Kα1 and Kα2), from a GGA-PBE-relaxed structure.
Lines closer than 0.1° are merged.

Most intense lines, 10° ≤ 2θ ≤ 90°, sorted by position:
d (Å), 2θ/deg, I_rel, hkl
2.473, 36.3, 24, 0 0 7
2.382, 37.8, 47, 1 0 4
2.248, 40.1, 66, 0 2 0
2.223, 40.6, 100, 1 1 3
2.167, 41.7, 81, 0 1 7
2.104, 43.0, 57, 1 1 4
1.635, 56.3, 22, 1 2 4
1.293, 73.2, 16, 1 3 3
1.204, 79.6, 16, 2 2 0
1.191, 80.7, 21, 2 1 7

Cell and atoms:
Lattice parameters (Å, degrees): 2.852 4.497 17.313 90.00 90.00 90.00
Fractional positions:
Zn (0.000, 0.000, 0.000)
Zn (0.000, 0.000, 0.276)
Zn (0.000, 0.500, 0.191)
Zn (0.000, 0.500, 0.613)
Zn (0.500, 0.000, 0.580)
Zn (0.500, 0.000, 0.860)
Zn (0.500, 0.500, 0.046)
Zn (0.500, 0.500, 0.763)
In (0.000, 0.000, 0.436)
Ag (0.000, 0.000, 0.719)
Ag (0.000, 0.500, 0.904)
Ag (0.500, 0.000, 0.139)
Ag (0.500, 0.500, 0.339)